(1)
Calculated powder diffraction line list
Compound: BaMg2H8Os
Radiation: CuKα
Structure: a DFT-relaxed cell (GGA-PBE, Alexandria)

Principal peaks in the range 2θ from 10° to 90°, by intensity:
30.37 deg, intensity 100; 17.87 deg, intensity 67; 24.35 deg, intensity 64; 36.20 deg, intensity 45; 30.66 deg, intensity 32; 19.68 deg, intensity 28; 61.53 deg, intensity 27; 44.11 deg, intensity 26; 57.49 deg, intensity 21; 37.90 deg, intensity 20

Atomic structure:
Cell: 4.9628 4.9628 10.8121 Å, 90.00 90.00 90.00°
Space group P4_2/mmc (No. 131)
Inequivalent atoms, fractional coordinates:
Ba 0.0000 0.5000 0.0000 x2
Mg 0.0000 0.5000 0.3608 x4
H 0.0000 0.0000 0.0924 x4
H 0.2452 0.2452 0.2500 x8
H 0.2526 0.5000 0.5000 x4
Os 0.0000 0.0000 0.2500 x2

(2)
Calculated powder diffraction line list
Compound: Ba2MgH12Pd3
Radiation: CuKα
Structure: a DFT-relaxed cell (GGA-PBE, Alexandria)

Principal peaks in the range 2θ from 10° to 90°, by intensity:
31.24 deg, intensity 100; 31.95 deg, intensity 74; 28.09 deg, intensity 63; 32.92 deg, intensity 47; 54.51 deg, intensity 40; 33.32 deg, intensity 40; 47.74 deg, intensity 29; 58.08 deg, intensity 26; 51.26 deg, intensity 23; 50.30 deg, intensity 20

Atomic structure:
Cell: 6.7332 6.7332 15.1503 Å, 90.00 90.00 120.00°
Space group R-3m (No. 166, hexagonal axes)
Inequivalent atoms, fractional coordinates:
Ba 0.0000 0.0000 0.1215 x6
Mg 0.0000 0.0000 0.5000 x3
H 0.0259 0.5129 0.1128 x18
H 0.0694 0.5347 0.3445 x18
Pd 0.0000 0.5000 0.0000 x9

(3)
Calculated powder diffraction line list
Compound: Rb2BaMgH6
Radiation: CuKα
Structure: a DFT-relaxed cell (GGA-PBE, Alexandria)

Principal peaks in the range 2θ from 10° to 90°, by intensity:
27.25 deg, intensity 100; 26.11 deg, intensity 62; 46.77 deg, intensity 45; 20.94 deg, intensity 39; 37.27 deg, intensity 25; 40.26 deg, intensity 16; 48.84 deg, intensity 14; 43.13 deg, intensity 12; 73.95 deg, intensity 12; 60.69 deg, intensity 11

Atomic structure:
Cell: 4.8257 4.8257 8.9073 Å, 90.00 90.00 90.00°
Space group P4/mmm (No. 123)
Inequivalent atoms, fractional coordinates:
Rb 0.0000 0.0000 0.2150 x2
Ba 0.5000 0.5000 0.5000 x1
Mg 0.5000 0.5000 0.0000 x1
H 0.0000 0.5000 0.0000 x2
H 0.0000 0.5000 0.5000 x2
H 0.5000 0.5000 0.2071 x2

Copy entry 2 word for word.
Calculated powder diffraction line list
Compound: Ba2MgH12Pd3
Radiation: CuKα
Structure: a DFT-relaxed cell (GGA-PBE, Alexandria)

Principal peaks in the range 2θ from 10° to 90°, by intensity:
31.24 deg, intensity 100; 31.95 deg, intensity 74; 28.09 deg, intensity 63; 32.92 deg, intensity 47; 54.51 deg, intensity 40; 33.32 deg, intensity 40; 47.74 deg, intensity 29; 58.08 deg, intensity 26; 51.26 deg, intensity 23; 50.30 deg, intensity 20

Atomic structure:
Cell: 6.7332 6.7332 15.1503 Å, 90.00 90.00 120.00°
Space group R-3m (No. 166, hexagonal axes)
Inequivalent atoms, fractional coordinates:
Ba 0.0000 0.0000 0.1215 x6
Mg 0.0000 0.0000 0.5000 x3
H 0.0259 0.5129 0.1128 x18
H 0.0694 0.5347 0.3445 x18
Pd 0.0000 0.5000 0.0000 x9